(1)
This entry pairs a crystal structure of DyTa4Te8 with its simulated powder diffractogram. Radiation: Cu Kα X-rays. Structure: a structure optimized by DFT (PBE).

Peak list (10 most intense, 5° ≤ 2θ ≤ 70°, sorted by position)
(0 0 3), 2θ 11.86, I 37; (0 2 1), 2θ 27.39, I 12; (0 2 4), 2θ 31.54, I 100; (0 2 7), 2θ 39.29, I 8; (2 0 8), 2θ 42.41, I 44; (2 2 0), 2θ 47.88, I 31; (0 0 12), 2θ 48.83, I 10; (2 2 3), 2θ 49.51, I 6; (4 0 4), 2θ 58.47, I 17; (0 4 8), 2θ 65.85, I 12

Crystal structure
```
data_DyTa4Te8
_chemical_formula_sum 'Dy3 Ta12 Te24'
_cell_length_a 7.5995
_cell_length_b 7.5995
_cell_length_c 22.3823
_cell_angle_alpha 90.00
_cell_angle_beta 90.00
_cell_angle_gamma 120.00
_symmetry_space_group_name_H-M 'R -3 m'
_symmetry_Int_Tables_number 166
_symmetry_space_group_name_Hall '-R 3 2"'
loop_
_atom_site_label
_atom_site_type_symbol
_atom_site_fract_x
_atom_site_fract_y
_atom_site_fract_z
_atom_site_occupancy
Dy1 Dy 0.0000 0.0000 0.0000 1
Ta1 Ta 0.0000 0.0000 0.5000 1
Ta2 Ta 0.0000 0.5000 0.5000 1
Te1 Te 0.0000 0.0000 0.2461 1
Te2 Te 0.0100 0.5050 0.2462 1
```

---

(2)
This entry pairs a crystal structure of Ba2CuRhO5 with its simulated powder diffractogram. Radiation: Cu Kα X-rays. Structure: a structure optimized by DFT (PBE).

Peak list (10 most intense, 5° ≤ 2θ ≤ 70°, sorted by position)
(0 2 3), 2θ 28.41, I 100; (0 4 2), 2θ 28.56, I 83; (1 3 0), 2θ 31.21, I 72; (1 1 2), 2θ 31.93, I 54; (1 3 1), 2θ 32.43, I 45; (0 6 1), 2θ 35.30, I 55; (1 1 3), 2θ 37.59, I 94; (1 5 2), 2θ 42.81, I 48; (1 3 5), 2θ 54.97, I 35; (2 2 3), 2θ 61.79, I 41

Crystal structure
```
data_Ba2CuRhO5
_chemical_formula_sum 'Ba8 Cu4 Rh4 O20'
_cell_length_a 3.421
_cell_length_b 15.745
_cell_length_c 10.279
_cell_angle_alpha 90.00
_cell_angle_beta 90.00
_cell_angle_gamma 90.00
_symmetry_space_group_name_H-M 'C m c 21'
_symmetry_Int_Tables_number 36
_symmetry_space_group_name_Hall 'C 2c -2'
loop_
_atom_site_label
_atom_site_type_symbol
_atom_site_fract_x
_atom_site_fract_y
_atom_site_fract_z
_atom_site_occupancy
Ba1 Ba 0.000 0.125 0.000 1
Ba2 Ba 0.000 0.126 0.399 1
Cu1 Cu 0.000 0.448 0.164 1
Rh1 Rh 0.000 0.213 0.703 1
O1 O 0.000 0.083 0.721 1
O2 O 0.000 0.290 0.325 1
O3 O 0.000 0.292 0.080 1
O4 O 0.000 0.339 0.700 1
O5 O 0.000 0.493 0.996 1
```

---

(3)
This entry pairs a crystal structure of Nd2Al9Co3 with its simulated powder diffractogram. Radiation: Cu Kα X-rays. Structure: a structure optimized by DFT (PBE).

Peak list (10 most intense, 5° ≤ 2θ ≤ 70°, sorted by position)
(1 1 1), 2θ 16.52, I 39; (0 2 1), 2θ 25.41, I 39; (3 1 1), 2θ 25.69, I 80; (3 1 2), 2θ 30.52, I 62; (0 2 3), 2θ 37.12, I 49; (3 1 3), 2θ 37.32, I 100; (0 0 4), 2θ 37.98, I 79; (3 3 0), 2θ 41.63, I 99; (6 0 0), 2θ 42.17, I 46; (3 3 4), 2θ 57.61, I 42

Crystal structure
```
data_Nd2Al9Co3
_chemical_formula_sum 'Nd8 Al36 Co12'
_cell_length_a 12.858
_cell_length_b 7.546
_cell_length_c 9.476
_cell_angle_alpha 90.00
_cell_angle_beta 90.00
_cell_angle_gamma 90.00
_symmetry_space_group_name_H-M 'C m c m'
_symmetry_Int_Tables_number 63
_symmetry_space_group_name_Hall '-C 2c 2'
loop_
_atom_site_label
_atom_site_type_symbol
_atom_site_fract_x
_atom_site_fract_y
_atom_site_fract_z
_atom_site_occupancy
Nd1 Nd 0.161 0.168 0.250 1
Al1 Al 0.000 0.128 0.750 1
Al2 Al 0.000 0.333 0.038 1
Al3 Al 0.106 0.444 0.750 1
Al4 Al 0.168 0.167 0.570 1
Co1 Co 0.000 0.000 0.000 1
Co2 Co 0.170 0.500 0.000 1
```

---

(4)
This entry pairs a crystal structure of NaEu2Cl6 with its simulated powder diffractogram. Radiation: Cu Kα X-rays. Structure: a structure optimized by DFT (PBE).

Peak list (10 most intense, 5° ≤ 2θ ≤ 70°, sorted by position)
(1 1 0), 2θ 13.43, I 77; (3 0 0), 2θ 23.38, I 61; (2 -1 1), 2θ 24.52, I 77; (0 3 1), 2θ 31.23, I 23; (2 2 1), 2θ 34.13, I 100; (3 3 0), 2θ 41.08, I 43; (0 0 2), 2θ 41.52, I 20; (5 -1 1), 2θ 41.78, I 82; (3 3 2), 2θ 59.84, I 23; (8 -7 1), 2θ 65.33, I 30

Crystal structure
```
data_NaEu2Cl6
_chemical_formula_sum 'Na3 Eu6 Cl18'
_cell_length_a 13.1824
_cell_length_b 13.1824
_cell_length_c 4.3497
_cell_angle_alpha 90.00
_cell_angle_beta 90.00
_cell_angle_gamma 120.00
_symmetry_space_group_name_H-M 'P 3'
_symmetry_Int_Tables_number 143
_symmetry_space_group_name_Hall 'P 3'
loop_
_atom_site_label
_atom_site_type_symbol
_atom_site_fract_x
_atom_site_fract_y
_atom_site_fract_z
_atom_site_occupancy
Na1 Na 0.0000 0.0000 0.0000 1
Na2 Na 0.3333 0.6667 0.4984 1
Na3 Na 0.6667 0.3333 0.2571 1
Eu1 Eu 0.0004 0.3327 0.7488 1
Eu2 Eu 0.9999 0.6669 0.2490 1
Cl1 Cl 0.0721 0.8428 0.7509 1
Cl2 Cl 0.1042 0.5946 0.7481 1
Cl3 Cl 0.1764 0.4361 0.2509 1
Cl4 Cl 0.2301 0.0730 0.2479 1
Cl5 Cl 0.4396 0.2616 0.7474 1
Cl6 Cl 0.5062 0.0986 0.2477 1
```